This entry pairs a crystal structure of CsTc4Se7 with its theoretical XRD peak list. Radiation: copper Kα. Structure: a GGA-PBE-relaxed structure.
Peak positions follow from Bragg's law for the DFT cell and can differ from measured ones.

Structure:
Cell: 4.7611 15.6371 8.1216 Å, 90.00 90.00 90.00°
Space group Pmmn (No. 59, origin choice 2)
One atom of each set of equivalent atoms:
1 Cs 0.2500 0.2500 0.2142
2 Tc 0.2500 0.0026 0.7770
3 Tc 0.2500 0.6151 0.2607
4 Se 0.2500 0.0189 0.1099
5 Se 0.2500 0.1336 0.6324
6 Se 0.2500 0.6015 0.5728
7 Se 0.2500 0.7500 0.1207

Principal peaks in the range 2θ = 10–80°, in order of rising 2θ:
| Position (°2θ) | d/Å | I (rel.) |
| --- | --- | --- |
| 11.32 | 7.819 | 51 |
| 24.48 | 3.636 | 58 |
| 25.29 | 3.521 | 100 |
| 28.90 | 3.090 | 64 |
| 37.79 | 2.381 | 78 |
| 44.96 | 2.016 | 77 |



This entry pairs a crystal structure of V8Rh with its theoretical XRD peak list. Radiation: copper Kα. Structure: a GGA-PBE-relaxed structure.
Peak positions follow from Bragg's law for the DFT cell and can differ from measured ones.

Structure:
Cell: 8.9851 8.9851 2.9947 Å, 90.00 90.00 90.00°
Space group I4/mmm (No. 139)
One atom of each set of equivalent atoms:
1 V 0.0000 0.3335 0.0000
2 V 0.1693 0.1693 0.5000
3 Rh 0.0000 0.0000 0.0000

Principal peaks in the range 2θ = 10–80°, in order of rising 2θ:
| Position (°2θ) | d/Å | I (rel.) |
| --- | --- | --- |
| 13.94 | 6.353 | 6 |
| 31.49 | 2.841 | 4 |
| 37.45 | 2.401 | 3 |
| 42.70 | 2.118 | 100 |
| 61.97 | 1.497 | 15 |
| 78.18 | 1.223 | 29 |



This entry pairs a crystal structure of CrFe6 with its theoretical XRD peak list. Radiation: copper Kα. Structure: a GGA-PBE-relaxed structure.
Peak positions follow from Bragg's law for the DFT cell and can differ from measured ones.

Structure:
Cell: 3.9467 7.8966 5.4210 Å, 90.00 90.00 90.00°
Space group Pmmn (No. 59, origin choice 2)
One atom of each set of equivalent atoms:
1 Cr 0.2500 0.2500 0.2007
2 Fe 0.2500 0.0108 0.8760
3 Fe 0.2500 0.2500 0.6203
4 Fe 0.2500 0.5778 0.4471
5 Fe 0.2500 0.7500 0.0763

Principal peaks in the range 2θ = 10–80°, in order of rising 2θ:
| Position (°2θ) | d/Å | I (rel.) |
| --- | --- | --- |
| 36.20 | 2.482 | 24 |
| 41.22 | 2.190 | 18 |
| 42.03 | 2.150 | 22 |
| 44.63 | 2.030 | 57 |
| 45.99 | 1.974 | 67 |
| 46.71 | 1.945 | 100 |